# 1
The following is a calculated powder X-ray diffraction pattern of Na6Bi2B4PO16. It was derived from a DFT-relaxed cell (PBE, Alexandria), using Cu Ka.
Peak positions follow from Bragg's law for the DFT cell and can differ from measured ones.

Atomic structure:
abc: 14.5007 14.5007 14.5007
angles: 90.00 90.00 90.00
Space group Fd-3 (No. 203, origin choice 2)
Unique sites:
Na (0.0781, 0.3750, 0.3750) (multiplicity 48)
Bi (0.0000, 0.0000, 0.5000) (multiplicity 16)
B (0.0309, 0.0309, 0.7191) (multiplicity 32)
P (0.1250, 0.1250, 0.1250) (multiplicity 8)
O (0.0234, 0.2844, 0.6005) (multiplicity 96)
O (0.0629, 0.0629, 0.0629) (multiplicity 32)

Main lines, by intensity (2θ from 5° to 70°):
d 4.372, intensity 100, hkl 3 1 1
d 8.372, intensity 72, hkl 1 1 1
d 4.186, intensity 63, hkl 2 2 2
d 2.563, intensity 57, hkl 4 4 0
d 2.791, intensity 53, hkl 5 1 1
d 2.186, intensity 48, hkl 6 2 2
d 2.451, intensity 34, hkl 5 3 1
d 3.625, intensity 31, hkl 4 0 0

=====

# 2
The following is a calculated powder X-ray diffraction pattern of Nd3BiB2Rh9. It was derived from a DFT-relaxed cell (PBE, Alexandria), using Cu Ka.
Peak positions follow from Bragg's law for the DFT cell and can differ from measured ones.

Atomic structure:
abc: 5.9342 5.9342 8.9584
angles: 90.00 90.00 120.00
Space group P-3m1 (No. 164)
Unique sites:
Nd (0.0000, 0.0000, 0.0000) (multiplicity 1)
Nd (0.3333, 0.6667, 0.6843) (multiplicity 2)
Bi (0.0000, 0.0000, 0.5000) (multiplicity 1)
B (0.3333, 0.6667, 0.1418) (multiplicity 2)
Rh (0.0000, 0.5000, 0.0000) (multiplicity 3)
Rh (0.1649, 0.3299, 0.2656) (multiplicity 6)

Main lines, by intensity (2θ from 5° to 70°):
d 2.229, intensity 100, hkl 2 0 2
d 2.470, intensity 82, hkl 0 2 1
d 1.484, intensity 28, hkl 2 2 0
d 2.240, intensity 20, hkl 0 0 4
d 3.377, intensity 20, hkl 0 1 2
d 1.948, intensity 20, hkl 2 0 3
d 2.986, intensity 15, hkl 0 0 3
d 5.139, intensity 14, hkl 1 0 0